Record 1
Ba2TeP2O9: theoretical powder XRD pattern (CuKα), based on the GGA-PBE geometry in Alexandria.
Lines closer than 0.1° are merged.

Peak list (10 most intense, 2θ = 10–90°, in order of rising 2θ)
d [Å], intensity
4.438, 42.3
3.967, 40.6
3.551, 59.1
3.484, 61.2
3.451, 100.0
3.368, 76.6
3.065, 40.0
2.903, 30.2
2.858, 36.0
2.125, 34.6

Cell and atoms:
a b c (Å): 7.063 7.525 9.065
angles (deg): 76.88 79.86 75.14
Sites, in units of the cell vectors:
Ba 0.100 0.383 0.243
Ba 0.369 0.805 0.417
Ba 0.631 0.195 0.583
Ba 0.900 0.617 0.757
Te 0.358 0.886 0.954
Te 0.642 0.114 0.046
P 0.137 0.120 0.647
P 0.378 0.521 0.818
P 0.622 0.479 0.182
P 0.863 0.880 0.353
O 0.038 0.710 0.346
O 0.068 0.936 0.673
O 0.200 0.533 0.939
O 0.276 0.108 0.776
O 0.277 0.149 0.495
O 0.331 0.525 0.658
O 0.377 0.072 0.102
O 0.451 0.656 0.144
O 0.475 0.696 0.806
O 0.525 0.304 0.194
O 0.549 0.344 0.856
O 0.623 0.928 0.898
O 0.669 0.475 0.342
O 0.723 0.851 0.505
O 0.724 0.892 0.224
O 0.800 0.467 0.061
O 0.932 0.064 0.327
O 0.962 0.290 0.654

***

Record 2
BaThP2O8: theoretical powder XRD pattern (CuKα), based on the GGA-PBE geometry in Alexandria.
Lines closer than 0.1° are merged.

Peak list (10 most intense, 2θ = 10–90°, in order of rising 2θ)
d [Å], intensity
6.320, 31.5
4.311, 63.0
4.225, 35.4
3.477, 59.0
3.324, 100.0
2.783, 61.4
2.747, 20.3
2.145, 27.1
2.136, 25.1
2.087, 19.4

Cell and atoms:
a b c (Å): 7.011 7.011 9.695
angles (deg): 100.63 100.63 46.14
Sites, in units of the cell vectors:
Ba 0.000 0.500 0.000
Ba 0.500 0.000 0.500
Th 0.176 0.824 0.750
Th 0.824 0.176 0.250
P 0.176 0.645 0.392
P 0.355 0.824 0.108
P 0.645 0.176 0.892
P 0.824 0.355 0.608
O 0.091 0.215 0.702
O 0.154 0.597 0.537
O 0.160 0.785 0.091
O 0.215 0.091 0.202
O 0.215 0.840 0.409
O 0.371 0.411 0.822
O 0.403 0.846 0.963
O 0.411 0.371 0.322
O 0.589 0.629 0.678
O 0.597 0.154 0.037
O 0.629 0.589 0.178
O 0.785 0.160 0.591
O 0.785 0.909 0.798
O 0.840 0.215 0.909
O 0.846 0.403 0.463
O 0.909 0.785 0.298